Record 1
Diffraction record for Mg2Tl3In. The PXRD pattern is calculated, not measured: it uses a cell relaxed with GGA-PBE and a wavelength of 1.5418 Å.
Kinematic intensities with the Lorentz-polarization factor, no thermal factor.

Cell and atoms:
abc: 4.379 4.379 8.524
angles: 90.00 90.00 90.00
Space group P-4m2 (No. 115)
One atom of each set of equivalent atoms:
Mg (0.000, 0.500, 0.230) x2
Tl (0.000, 0.500, 0.868) x2
Tl (0.500, 0.500, 0.500) x1
In (0.000, 0.000, 0.500) x1

Peak list (8 most intense, 2θ = 10–80°, in order of rising 2θ)
h k l  2θ/deg  I (rel.)
1 0 1  22.83  38.7
1 0 2  29.24  49.9
1 1 1  30.72  100.0
0 0 3  31.49  28.7
1 1 2  35.85  31.1
2 0 0  41.23  38.1
1 1 4  52.10  29.2
2 0 3  52.79  27.2

=====

Record 2
Diffraction record for CsScHgCl6. The PXRD pattern is calculated, not measured: it uses a cell relaxed with GGA-PBE and a wavelength of 1.5418 Å.
Kinematic intensities with the Lorentz-polarization factor, no thermal factor.

Cell and atoms:
abc: 6.8936 6.8936 7.6819
angles: 90.00 90.00 120.00
Space group P312 (No. 149)
One atom of each set of equivalent atoms:
Cs (0.0000, 0.0000, 0.0000) x1
Sc (0.6667, 0.3333, 0.5000) x1
Hg (0.3333, 0.6667, 0.5000) x1
Cl (0.3920, 0.0221, 0.3063) x6

Peak list (8 most intense, 2θ = 10–80°, in order of rising 2θ)
h k l  2θ/deg  I (rel.)
0 0 1  11.52  22.2
1 0 1  18.83  100.0
1 1 0  25.85  20.3
2 0 1  32.17  21.9
1 1 2  34.98  53.2
1 0 3  38.23  17.6
2 1 1  41.72  27.6
2 0 3  46.73  16.6

=====

Record 3
Diffraction record for La4PrSi4. The PXRD pattern is calculated, not measured: it uses a cell relaxed with GGA-PBE and a wavelength of 1.5418 Å.
Kinematic intensities with the Lorentz-polarization factor, no thermal factor.

Cell and atoms:
abc: 9.178 9.178 6.192
angles: 90.00 90.00 90.00
Space group P4_2/n (No. 86, origin choice 2)
One atom of each set of equivalent atoms:
La (0.048, 0.671, 0.111) x8
Pr (0.250, 0.250, 0.250) x2
Si (0.013, 0.615, 0.597) x8

Peak list (8 most intense, 2θ = 10–80°, in order of rising 2θ)
h k l  2θ/deg  I (rel.)
2 0 1  24.14  37.2
2 1 1  26.05  100.0
1 0 2  30.47  43.3
1 3 0  30.81  95.3
1 2 2  36.35  30.4
4 2 0  44.13  30.8
2 3 2  46.17  28.8
5 0 1  51.96  28.5

=====

Record 4
Diffraction record for CaHo4S7. The PXRD pattern is calculated, not measured: it uses a cell relaxed with GGA-PBE and a wavelength of 1.5418 Å.
Kinematic intensities with the Lorentz-polarization factor, no thermal factor.

Cell and atoms:
abc: 12.832 3.822 11.651
angles: 90.00 104.93 90.00
Space group Cm (No. 8)
One atom of each set of equivalent atoms:
Ca (0.000, 0.000, 0.000) x2
Ho (0.122, 0.000, 0.419) x2
Ho (0.228, 0.000, 0.843) x2
Ho (0.316, 0.500, 0.230) x2
Ho (0.427, 0.000, 0.621) x2
S (0.076, 0.000, 0.631) x2
S (0.104, 0.500, 0.896) x2
S (0.163, 0.000, 0.208) x2
S (0.281, 0.500, 0.472) x2
S (0.350, 0.500, 0.769) x2
S (0.367, 0.000, 0.068) x2
S (0.463, 0.000, 0.371) x2

Peak list (8 most intense, 2θ = 10–80°, in order of rising 2θ)
h k l  2θ/deg  I (rel.)
2 0 2  23.94  92.0
2 0 -3  24.36  100.0
4 0 -1  27.82  37.6
1 1 -2  28.09  34.2
3 1 0  31.88  51.8
3 1 -2  33.08  45.5
3 1 1  34.26  48.5
1 1 4  41.99  34.6